Cs2CaV2O7: calculated powder X-ray diffraction pattern (λ = 1.5418 Å (Cu Kα)), based on a DFT-relaxed cell (PBE+U, the Materials Project).
No peak broadening, texture or thermal motion is included.

Largest 6 diffraction maxima, in order of falling intensity, 2θ = 15–90°:
hkl 3 1 -2, 2θ = 28.8°, intensity 100.0; hkl 2 0 2, 2θ = 26.9°, intensity 78.2; hkl 2 0 -4, 2θ = 23.7°, intensity 37.3; hkl 4 0 0, 2θ = 37.6°, intensity 26.3; hkl 3 1 -8, 2θ = 48.8°, intensity 23.8; hkl 4 0 -4, 2θ = 34.5°, intensity 21.9

Atomic structure:
```
data_Cs2CaV2O7
_cell_length_a 10.747
_cell_length_b 6.186
_cell_length_c 15.757
_cell_angle_alpha 90.00
_cell_angle_beta 117.08
_cell_angle_gamma 90.00
_space_group_name_H-M_alt 'P 1 21/c 1'
_space_group_IT_number 14
loop_
_space_group_symop_operation_xyz
'x,y,z'
'-x,-y,-z'
'-x,y+1/2,-z+1/2'
'x,-y+1/2,z+1/2'
loop_
_atom_site_label
_atom_site_type_symbol
_atom_site_fract_x
_atom_site_fract_y
_atom_site_fract_z
_atom_site_occupancy
Cs1 Cs 0.015 0.233 0.150 1
Cs2 Cs 0.467 0.228 0.328 1
Ca1 Ca 0.264 0.244 0.515 1
V1 V 0.165 0.738 0.132 1
V2 V 0.329 0.729 0.378 1
O1 O 0.013 0.215 0.428 1
O2 O 0.204 0.697 0.756 1
O3 O 0.225 0.546 0.592 1
O4 O 0.247 0.000 0.629 1
O5 O 0.278 0.019 0.902 1
O6 O 0.312 0.571 0.947 1
O7 O 0.494 0.720 0.386 1
```